CaTiMnO4: calculated X-ray diffraction stick pattern (Cu Kα (λ = 1.5418 Å)), based on DFT lattice parameters and positions (PBE+U).
Intensities are scaled so that the largest is 100.

Crystal structure
Lattice parameters (Å, degrees): 6.158 6.364 9.331 90.00 90.00 90.00
Space group Imma (No. 74)
Asymmetric unit:
Ca 0.000 0.250 0.115 (multiplicity 4)
Ti 0.250 0.250 0.750 (multiplicity 4)
Mn 0.000 0.000 0.500 (multiplicity 4)
O 0.000 0.041 0.747 (multiplicity 8)
O 0.232 0.250 0.540 (multiplicity 8)

The 10 most intense peaks (10 to 90 degrees two-theta), in order of rising 2θ:
2theta  I_rel  hkl
16.86  56  0 1 1
17.25  30  1 0 1
27.79  44  1 1 2
32.03  35  0 1 3
32.24  49  1 0 3
33.11  100  1 2 1
33.74  74  2 1 1
40.78  55  2 2 0
53.36  34  2 3 1
57.40  85  2 2 4